Record 1
Starting from a PBE-relaxed structure, the XRD peak list of HfMg14Bi was calculated for Cu Kα.
Kinematic intensities with the Lorentz-polarization factor, no thermal factor.

Most intense lines, 10 to 90 degrees two-theta, in order of rising 2θ:
| two_theta | Rel. int. | index |
| --- | --- | --- |
| 16.02 | 93 | 1 0 0 |
| 16.90 | 27 | 0 0 2 |
| 23.37 | 76 | 1 0 2 |
| 27.94 | 25 | 1 1 0 |
| 32.37 | 35 | 2 0 0 |
| 32.83 | 33 | 1 1 2 |
| 34.19 | 25 | 0 0 4 |
| 36.74 | 100 | 2 0 2 |
| 46.78 | 26 | 2 1 2 |
| 47.80 | 24 | 2 0 4 |

Crystal structure
```
data_HfMg14Bi
_chemical_formula_sum 'Hf1 Mg14 Bi1'
_cell_length_a 6.3871
_cell_length_b 6.3871
_cell_length_c 10.4896
_cell_angle_alpha 90.00
_cell_angle_beta 90.00
_cell_angle_gamma 120.00
_space_group_name_H-M_alt 'P -6 m 2'
_space_group_IT_number 187
_space_group_name_Hall 'P -6 2'
loop_
_atom_site_label
_atom_site_type_symbol
_atom_site_fract_x
_atom_site_fract_y
_atom_site_fract_z
_atom_site_occupancy
Hf1 Hf 0.0000 0.0000 0.0000 1
Mg1 Mg 0.0039 0.5019 0.0000 1
Mg2 Mg 0.1643 0.3287 0.2441 1
Mg3 Mg 0.5012 0.0024 0.5000 1
Mg4 Mg 0.6667 0.3333 0.2459 1
Bi1 Bi 0.0000 0.0000 0.5000 1
```


Record 2
Starting from a PBE-relaxed structure, the XRD peak list of HfMg6Bi was calculated for Cu Kα.
Kinematic intensities with the Lorentz-polarization factor, no thermal factor.

Most intense lines, 10 to 90 degrees two-theta, in order of rising 2θ:
| two_theta | Rel. int. | index |
| --- | --- | --- |
| 15.79 | 100 | 0 1 1 |
| 23.32 | 28 | 1 1 1 |
| 23.56 | 40 | 1 0 2 |
| 27.32 | 19 | 0 2 0 |
| 31.89 | 18 | 0 2 2 |
| 32.91 | 47 | 1 1 3 |
| 34.50 | 27 | 2 0 0 |
| 36.38 | 69 | 1 2 2 |
| 37.02 | 35 | 1 0 4 |
| 38.15 | 24 | 2 1 1 |

Crystal structure
```
data_HfMg6Bi
_chemical_formula_sum 'Hf2 Mg12 Bi2'
_cell_length_a 5.2001
_cell_length_b 6.5279
_cell_length_c 10.9850
_cell_angle_alpha 90.00
_cell_angle_beta 90.00
_cell_angle_gamma 90.00
_space_group_name_H-M_alt 'A m m 2'
_space_group_IT_number 38
_space_group_name_Hall 'A 2 -2'
loop_
_atom_site_label
_atom_site_type_symbol
_atom_site_fract_x
_atom_site_fract_y
_atom_site_fract_z
_atom_site_occupancy
Hf1 Hf 0.0000 0.0000 0.0000 1
Mg1 Mg 0.0000 0.0000 0.4982 1
Mg2 Mg 0.0000 0.2412 0.7539 1
Mg3 Mg 0.5000 0.0000 0.6684 1
Mg4 Mg 0.5000 0.2500 0.4169 1
Bi1 Bi 0.5000 0.0000 0.1633 1
```


Record 3
Starting from a PBE-relaxed structure, the XRD peak list of Hf6NiBi2 was calculated for Cu Kα.
Kinematic intensities with the Lorentz-polarization factor, no thermal factor.

Most intense lines, 10 to 90 degrees two-theta, in order of rising 2θ:
| two_theta | Rel. int. | index |
| --- | --- | --- |
| 33.48 | 100 | 1 1 1 |
| 35.04 | 58 | 2 1 0 |
| 36.08 | 51 | 2 0 1 |
| 39.91 | 37 | 3 0 0 |
| 43.07 | 34 | 2 1 1 |
| 49.68 | 18 | 0 0 2 |
| 62.23 | 22 | 2 1 2 |
| 65.17 | 22 | 3 2 1 |
| 65.54 | 17 | 3 0 2 |
| 68.40 | 21 | 4 1 1 |

Crystal structure
```
data_Hf6NiBi2
_chemical_formula_sum 'Hf6 Ni1 Bi2'
_cell_length_a 7.8242
_cell_length_b 7.8242
_cell_length_c 3.6705
_cell_angle_alpha 90.00
_cell_angle_beta 90.00
_cell_angle_gamma 120.00
_space_group_name_H-M_alt 'P -6 2 m'
_space_group_IT_number 189
_space_group_name_Hall 'P -6 -2'
loop_
_atom_site_label
_atom_site_type_symbol
_atom_site_fract_x
_atom_site_fract_y
_atom_site_fract_z
_atom_site_occupancy
Hf1 Hf 0.0000 0.2346 0.0000 1
Hf2 Hf 0.0000 0.6136 0.5000 1
Ni1 Ni 0.0000 0.0000 0.5000 1
Bi1 Bi 0.3333 0.6667 0.0000 1
```


Please write out number 3 again, unchanged.
Starting from a PBE-relaxed structure, the XRD peak list of Hf6NiBi2 was calculated for Cu Kα.
Kinematic intensities with the Lorentz-polarization factor, no thermal factor.

Most intense lines, 10 to 90 degrees two-theta, in order of rising 2θ:
| two_theta | Rel. int. | index |
| --- | --- | --- |
| 33.48 | 100 | 1 1 1 |
| 35.04 | 58 | 2 1 0 |
| 36.08 | 51 | 2 0 1 |
| 39.91 | 37 | 3 0 0 |
| 43.07 | 34 | 2 1 1 |
| 49.68 | 18 | 0 0 2 |
| 62.23 | 22 | 2 1 2 |
| 65.17 | 22 | 3 2 1 |
| 65.54 | 17 | 3 0 2 |
| 68.40 | 21 | 4 1 1 |

Crystal structure
```
data_Hf6NiBi2
_chemical_formula_sum 'Hf6 Ni1 Bi2'
_cell_length_a 7.8242
_cell_length_b 7.8242
_cell_length_c 3.6705
_cell_angle_alpha 90.00
_cell_angle_beta 90.00
_cell_angle_gamma 120.00
_space_group_name_H-M_alt 'P -6 2 m'
_space_group_IT_number 189
_space_group_name_Hall 'P -6 -2'
loop_
_atom_site_label
_atom_site_type_symbol
_atom_site_fract_x
_atom_site_fract_y
_atom_site_fract_z
_atom_site_occupancy
Hf1 Hf 0.0000 0.2346 0.0000 1
Hf2 Hf 0.0000 0.6136 0.5000 1
Ni1 Ni 0.0000 0.0000 0.5000 1
Bi1 Bi 0.3333 0.6667 0.0000 1
```


Question: What is the formula in the third record?
Answer: Hf6NiBi2